1.
This entry pairs a crystal structure of Li2Ag2F7 with its theoretical X-ray diffraction stick pattern. Radiation: Cu Kα, 1.54184 Å. Structure: the GGA-PBE geometry in Alexandria.
Neutral-atom scattering factors, no anomalous dispersion.

Structural model:
Lattice parameters (Å, degrees): 5.5421 5.5421 6.2506 101.13 101.13 105.44
Fractional positions:
Li (0.1612, 0.8388, 0.0000)
Li (0.8388, 0.1612, 0.0000)
Ag (0.3473, 0.3473, 0.7330)
Ag (0.6527, 0.6527, 0.2670)
F (0.1256, 0.5774, 0.7477)
F (0.1821, 0.1821, 0.9582)
F (0.4226, 0.8744, 0.2523)
F (0.5000, 0.5000, 0.5000)
F (0.5774, 0.1256, 0.7477)
F (0.8179, 0.8179, 0.0418)
F (0.8744, 0.4226, 0.2523)

The 8 most intense peaks (5° ≤ 2θ ≤ 70°), by angle:
2θ = 17.2°, I 69
2θ = 19.7°, I 60
2θ = 20.1°, I 55
2θ = 25.7°, I 100
2θ = 27.3°, I 41
2θ = 30.2°, I 27
2θ = 36.0°, I 28
2θ = 38.8°, I 26

---

2.
This entry pairs a crystal structure of Sr2Tl2Cd with its theoretical X-ray diffraction stick pattern. Radiation: Cu Kα, 1.54184 Å. Structure: the GGA-PBE geometry in Alexandria.
Neutral-atom scattering factors, no anomalous dispersion.

Structural model:
Lattice parameters (Å, degrees): 6.6740 6.6740 12.1978 114.83 114.83 43.73
Fractional positions:
Sr (0.0111, 0.0111, 0.3357)
Sr (0.1839, 0.1839, 0.1068)
Sr (0.8161, 0.8161, 0.8932)
Sr (0.9889, 0.9889, 0.6643)
Tl (0.3563, 0.3563, 0.4348)
Tl (0.4688, 0.4688, 0.1154)
Tl (0.5312, 0.5312, 0.8846)
Tl (0.6437, 0.6437, 0.5652)
Cd (0.2833, 0.2833, 0.6587)
Cd (0.7167, 0.7167, 0.3413)

The 8 most intense peaks (5° ≤ 2θ ≤ 70°), by angle:
2θ = 19.6°, I 39
2θ = 22.4°, I 20
2θ = 28.2°, I 22
2θ = 28.5°, I 66
2θ = 28.9°, I 28
2θ = 31.3°, I 39
2θ = 34.2°, I 100
2θ = 36.1°, I 43

---

3.
This entry pairs a crystal structure of RbBa2Tl2Bi2 with its theoretical X-ray diffraction stick pattern. Radiation: Cu Kα, 1.54184 Å. Structure: the GGA-PBE geometry in Alexandria.
Neutral-atom scattering factors, no anomalous dispersion.

Structural model:
Lattice parameters (Å, degrees): 11.1909 11.1909 11.1909 30.37 30.37 30.37
Fractional positions:
Rb (0.0000, 0.0000, 0.0000)
Ba (0.1311, 0.1311, 0.1311)
Ba (0.8689, 0.8689, 0.8689)
Tl (0.4322, 0.4322, 0.4322)
Tl (0.5678, 0.5678, 0.5678)
Bi (0.2485, 0.2485, 0.2485)
Bi (0.7515, 0.7515, 0.7515)

The 8 most intense peaks (5° ≤ 2θ ≤ 70°), by angle:
2θ = 8.3°, I 29
2θ = 16.6°, I 37
2θ = 26.2°, I 51
2θ = 30.5°, I 100
2θ = 33.1°, I 21
2θ = 34.9°, I 37
2θ = 39.9°, I 21
2θ = 48.9°, I 22

---

4.
This entry pairs a crystal structure of Na17Cd11Ge with its theoretical X-ray diffraction stick pattern. Radiation: Cu Kα, 1.54184 Å. Structure: the GGA-PBE geometry in Alexandria.
Neutral-atom scattering factors, no anomalous dispersion.

Structural model:
Lattice parameters (Å, degrees): 10.0219 10.0219 10.0659 109.23 109.23 109.20
Fractional positions:
Na (0.0000, 0.0000, 0.0000)
Na (0.2856, 0.5872, 0.9502)
Na (0.3017, 0.7098, 0.6613)
Na (0.3181, 0.3181, 0.0747)
Na (0.3347, 0.3347, 0.6908)
Na (0.4021, 0.9932, 0.0336)
Na (0.4053, 0.6793, 0.3477)
Na (0.5872, 0.2856, 0.9502)
Na (0.5869, 0.5869, 0.6330)
Na (0.6421, 0.9882, 0.3452)
Na (0.6748, 0.9919, 0.7622)
Na (0.6793, 0.4053, 0.3477)
Na (0.7098, 0.3017, 0.6613)
Na (0.9869, 0.9869, 0.3438)
Na (0.9882, 0.6421, 0.3452)
Na (0.9919, 0.6748, 0.7622)
Na (0.9932, 0.4021, 0.0336)
Cd (0.1733, 0.8116, 0.1664)
Cd (0.1760, 0.9920, 0.7160)
Cd (0.1794, 0.3598, 0.3492)
Cd (0.3504, 0.9895, 0.5320)
Cd (0.3598, 0.1794, 0.3492)
Cd (0.6293, 0.8115, 0.9913)
Cd (0.8068, 0.8068, 0.5148)
Cd (0.8116, 0.1733, 0.1664)
Cd (0.8115, 0.6293, 0.9913)
Cd (0.9895, 0.3504, 0.5320)
Cd (0.9920, 0.1760, 0.7160)
Ge (0.6340, 0.6340, 0.1756)

The 8 most intense peaks (5° ≤ 2θ ≤ 70°), by angle:
2θ = 10.7°, I 29
2θ = 18.6°, I 38
2θ = 18.7°, I 100
2θ = 32.6°, I 34
2θ = 32.8°, I 80
2θ = 35.9°, I 36
2θ = 36.3°, I 48
2θ = 36.4°, I 47

---

5.
This entry pairs a crystal structure of SmAl8SiAu4 with its theoretical X-ray diffraction stick pattern. Radiation: Cu Kα, 1.54184 Å. Structure: the GGA-PBE geometry in Alexandria.
Neutral-atom scattering factors, no anomalous dispersion.

Structural model:
Lattice parameters (Å, degrees): 15.0437 15.0437 15.0437 156.83 156.83 33.00
Fractional positions:
Sm (0.2500, 0.7500, 0.5000)
Sm (0.7500, 0.2500, 0.5000)
Al (0.0910, 0.0910, 0.4964)
Al (0.0910, 0.5946, 0.0000)
Al (0.1972, 0.1972, 0.4998)
Al (0.1972, 0.6975, 0.0000)
Al (0.3025, 0.3025, 0.4998)
Al (0.3025, 0.8028, 0.0000)
Al (0.4054, 0.4054, 0.4964)
Al (0.4054, 0.9090, 0.0000)
Al (0.5946, 0.0910, 0.0000)
Al (0.5946, 0.5946, 0.5036)
Al (0.6975, 0.1972, 0.0000)
Al (0.6975, 0.6975, 0.5002)
Al (0.8028, 0.3025, 0.0000)
Al (0.8028, 0.8028, 0.5002)
Al (0.9090, 0.4054, 0.0000)
Al (0.9090, 0.9090, 0.5036)
Si (0.2085, 0.2085, 0.0000)
Si (0.7915, 0.7915, 0.0000)
Au (0.0000, 0.0000, 0.0000)
Au (0.1053, 0.6053, 0.5000)
Au (0.2931, 0.2931, 0.0000)
Au (0.3947, 0.8947, 0.5000)
Au (0.5000, 0.5000, 0.0000)
Au (0.6053, 0.1053, 0.5000)
Au (0.7069, 0.7069, 0.0000)
Au (0.8947, 0.3947, 0.5000)

The 8 most intense peaks (5° ≤ 2θ ≤ 70°), by angle:
2θ = 24.2°, I 91
2θ = 27.9°, I 100
2θ = 29.6°, I 62
2θ = 42.3°, I 59
2θ = 43.4°, I 55
2θ = 49.1°, I 47
2θ = 51.5°, I 38
2θ = 66.8°, I 38

---

6.
This entry pairs a crystal structure of Sc5Tl3 with its theoretical X-ray diffraction stick pattern. Radiation: Cu Kα, 1.54184 Å. Structure: the GGA-PBE geometry in Alexandria.
Neutral-atom scattering factors, no anomalous dispersion.

Structural model:
Lattice parameters (Å, degrees): 6.3699 12.3978 4.8356 90.00 90.00 90.00
Fractional positions:
Sc (0.0000, 0.0000, 0.0000)
Sc (0.1404, 0.2684, 0.0000)
Sc (0.1583, 0.6086, 0.5000)
Sc (0.3417, 0.1086, 0.5000)
Sc (0.3596, 0.7684, 0.0000)
Sc (0.5000, 0.5000, 0.0000)
Sc (0.6404, 0.2316, 0.0000)
Sc (0.6583, 0.8914, 0.5000)
Sc (0.8417, 0.3914, 0.5000)
Sc (0.8596, 0.7316, 0.0000)
Tl (0.0000, 0.5000, 0.0000)
Tl (0.1188, 0.8512, 0.5000)
Tl (0.3812, 0.3512, 0.5000)
Tl (0.5000, 0.0000, 0.0000)
Tl (0.6188, 0.6488, 0.5000)
Tl (0.8812, 0.1488, 0.5000)

The 8 most intense peaks (5° ≤ 2θ ≤ 70°), by angle:
2θ = 20.0°, I 28
2θ = 23.3°, I 31
2θ = 24.2°, I 77
2θ = 25.7°, I 58
2θ = 34.4°, I 100
2θ = 34.5°, I 77
2θ = 37.2°, I 57
2θ = 65.3°, I 27

---

7.
This entry pairs a crystal structure of Rb2SrPmI6 with its theoretical X-ray diffraction stick pattern. Radiation: Cu Kα, 1.54184 Å. Structure: the GGA-PBE geometry in Alexandria.
Neutral-atom scattering factors, no anomalous dispersion.

Structural model:
Lattice parameters (Å, degrees): 8.8483 12.7418 9.1792 90.00 90.00 90.00
Fractional positions:
Rb (0.2500, 0.0515, 0.1982)
Rb (0.2500, 0.4485, 0.1982)
Rb (0.7500, 0.5515, 0.8018)
Rb (0.7500, 0.9485, 0.8018)
Sr (0.2500, 0.2500, 0.7248)
Sr (0.7500, 0.7500, 0.2752)
Pm (0.2500, 0.7500, 0.7714)
Pm (0.7500, 0.2500, 0.2286)
I (0.0035, 0.7500, 0.0176)
I (0.0109, 0.2500, 0.4584)
I (0.2500, 0.5034, 0.7734)
I (0.2500, 0.9966, 0.7734)
I (0.4891, 0.2500, 0.4584)
I (0.4965, 0.7500, 0.0176)
I (0.5035, 0.2500, 0.9824)
I (0.5109, 0.7500, 0.5416)
I (0.7500, 0.0034, 0.2266)
I (0.7500, 0.4966, 0.2266)
I (0.9891, 0.7500, 0.5416)
I (0.9965, 0.2500, 0.9824)

The 8 most intense peaks (5° ≤ 2θ ≤ 70°), by angle:
2θ = 13.9°, I 50
2θ = 23.9°, I 31
2θ = 24.5°, I 36
2θ = 28.0°, I 100
2θ = 31.4°, I 26
2θ = 40.0°, I 42
2θ = 40.8°, I 14
2θ = 65.5°, I 13

---

8.
This entry pairs a crystal structure of LaSm2DyHo5 with its theoretical X-ray diffraction stick pattern. Radiation: Cu Kα, 1.54184 Å. Structure: the GGA-PBE geometry in Alexandria.
Neutral-atom scattering factors, no anomalous dispersion.

Structural model:
Lattice parameters (Å, degrees): 9.8649 9.8649 9.8649 127.17 127.17 77.97
Fractional positions:
La (0.2500, 0.2500, 0.0000)
La (0.7500, 0.7500, 0.0000)
Sm (0.1160, 0.6160, 0.7320)
Sm (0.3840, 0.1160, 0.5000)
Sm (0.6160, 0.8840, 0.5000)
Sm (0.8840, 0.3840, 0.2680)
Dy (0.2500, 0.7500, 0.5000)
Dy (0.7500, 0.2500, 0.5000)
Ho (0.0000, 0.0000, 0.0000)
Ho (0.0730, 0.1572, 0.5000)
Ho (0.1572, 0.6572, 0.0843)
Ho (0.3428, 0.4270, 0.5000)
Ho (0.4270, 0.9270, 0.0843)
Ho (0.5000, 0.5000, 0.0000)
Ho (0.5730, 0.0730, 0.9157)
Ho (0.6572, 0.5730, 0.5000)
Ho (0.8428, 0.3428, 0.9157)
Ho (0.9270, 0.8428, 0.5000)

The 8 most intense peaks (5° ≤ 2θ ≤ 70°), by angle:
2θ = 28.7°, I 98
2θ = 31.0°, I 100
2θ = 37.2°, I 13
2θ = 37.4°, I 18
2θ = 42.9°, I 21
2θ = 47.4°, I 13
2θ = 52.4°, I 22
2θ = 56.5°, I 21